For Na4Hf2Si3O12, a GGA-PBE-relaxed structure gives the theoretical X-ray diffraction stick pattern in this record (Cu Kα (λ = 1.5418 Å)).
No peak broadening, texture or thermal motion is included.

The 10 most intense peaks (2θ = 10–80°), low angle first:
| (hkl) | d (Å) | I_rel |
| --- | --- | --- |
| 0 1 2 | 6.552 | 25 |
| 1 0 4 | 4.666 | 91 |
| 1 1 0 | 4.601 | 100 |
| 0 2 4 | 3.276 | 43 |
| 1 1 6 | 2.947 | 95 |
| 2 1 4 | 2.669 | 28 |
| 3 0 0 | 2.656 | 53 |
| 2 2 6 | 1.973 | 33 |
| 2 1 10 | 1.829 | 25 |
| 1 4 6 | 1.584 | 26 |

Structural model:
```
data_Na4Hf2Si3O12
_symmetry_space_group_name_H-M 'R -3 c'
_symmetry_Int_Tables_number 167
_symmetry_space_group_name_Hall '-R 3 2"c'
_cell_length_a 9.2021
_cell_length_b 9.2021
_cell_length_c 23.0213
_cell_angle_alpha 90.00
_cell_angle_beta 90.00
_cell_angle_gamma 120.00
loop_
_atom_site_label
_atom_site_type_symbol
_atom_site_fract_x
_atom_site_fract_y
_atom_site_fract_z
Na1 Na 0.0000 0.0000 0.0000
Na2 Na 0.0000 0.3657 0.2500
Hf1 Hf 0.0000 0.0000 0.1487
Si1 Si 0.0000 0.2920 0.7500
O1 O 0.0233 0.1887 0.4098
O2 O 0.0347 0.2061 0.6933
```